No. 1
Simulated powder X-ray diffraction pattern
Compound: Nb5Ga2Sn2
Radiation: CuKα
Structure: a structure optimized by DFT (PBE)
Kinematic intensities with the Lorentz-polarization factor, no thermal factor.

Largest 10 diffraction maxima, sorted by position, 10° ≤ 2θ ≤ 80°:
| d (Å) | 2θ (°) | I (rel.) | hkl |
| --- | --- | --- | --- |
| 2.589 | 34.64 | 73.4 | 3 1 2 |
| 2.484 | 36.16 | 75.8 | 4 2 0 |
| 2.475 | 36.30 | 78.5 | 0 2 2 |
| 2.463 | 36.49 | 81.1 | 4 0 2 |
| 2.435 | 36.92 | 69.0 | 5 1 1 |
| 2.339 | 38.49 | 100.0 | 4 2 1 |
| 2.201 | 41.00 | 67.0 | 1 3 1 |
| 2.172 | 41.59 | 66.0 | 1 1 3 |
| 2.081 | 43.49 | 44.0 | 5 1 2 |
| 1.421 | 65.71 | 41.3 | 5 3 3 |

Cell and atoms:
```
data_Nb5Ga2Sn2
_space_group_name_H-M_alt 'C m c e'
_space_group_IT_number 64
_space_group_name_Hall '-C 2ac 2'
_cell_length_a 13.9826
_cell_length_b 7.0610
_cell_length_c 6.9394
_cell_angle_alpha 90.00
_cell_angle_beta 90.00
_cell_angle_gamma 90.00
loop_
_atom_site_label
_atom_site_fract_x
_atom_site_fract_y
_atom_site_fract_z
Nb1 0.0000 0.0000 0.0000
Nb2 0.1229 0.1687 0.3265
Ga1 0.0000 0.1270 0.6260
Sn1 0.2144 0.0000 0.0000
```

=====

No. 2
Simulated powder X-ray diffraction pattern
Compound: Cu3Ag2Cl8
Radiation: CuKα
Structure: a structure optimized by DFT (PBE)
Kinematic intensities with the Lorentz-polarization factor, no thermal factor.

Largest 10 diffraction maxima, sorted by position, 10° ≤ 2θ ≤ 80°:
| d (Å) | 2θ (°) | I (rel.) | hkl |
| --- | --- | --- | --- |
| 4.781 | 18.56 | 87.9 | 2 0 1 |
| 4.661 | 19.04 | 48.7 | 1 1 1 |
| 3.717 | 23.94 | 55.7 | 0 0 2 |
| 3.555 | 25.05 | 40.7 | 3 1 0 |
| 3.209 | 27.80 | 47.3 | 3 1 -1 |
| 3.157 | 28.27 | 53.9 | 1 1 2 |
| 2.992 | 29.86 | 30.4 | 2 2 0 |
| 2.776 | 32.25 | 42.5 | 2 2 -1 |
| 2.200 | 41.03 | 100.0 | 4 2 1 |
| 1.909 | 47.63 | 50.2 | 2 2 -3 |

Cell and atoms:
```
data_Cu3Ag2Cl8
_space_group_name_H-M_alt 'C 1 2/m 1'
_space_group_IT_number 12
_cell_length_a 12.4972
_cell_length_b 6.8172
_cell_length_c 7.4331
_cell_angle_alpha 90.00
_cell_angle_beta 90.12
_cell_angle_gamma 90.00
loop_
_space_group_symop_operation_xyz
'x,y,z'
'-x,-y,-z'
'-x,y,-z'
'x,-y,z'
'x+1/2,y+1/2,z'
'-x+1/2,-y+1/2,-z'
'-x+1/2,y+1/2,-z'
'x+1/2,-y+1/2,z'
loop_
_atom_site_label
_atom_site_fract_x
_atom_site_fract_y
_atom_site_fract_z
Cu1 0.0000 0.0000 0.0000
Cu2 0.0000 0.2442 0.5000
Ag1 0.2071 0.5000 0.0988
Cl1 0.1078 0.0000 0.3906
Cl2 0.1129 0.5000 0.4164
Cl3 0.1147 0.2334 0.8931
```

=====

No. 3
Simulated powder X-ray diffraction pattern
Compound: Ho3ScAg4S8
Radiation: CuKα
Structure: a structure optimized by DFT (PBE)
Kinematic intensities with the Lorentz-polarization factor, no thermal factor.

Largest 10 diffraction maxima, sorted by position, 10° ≤ 2θ ≤ 80°:
| d (Å) | 2θ (°) | I (rel.) | hkl |
| --- | --- | --- | --- |
| 3.750 | 23.72 | 37.7 | 0 0 2 |
| 3.372 | 26.43 | 47.2 | 4 0 -2 |
| 3.276 | 27.22 | 100.0 | 2 2 0 |
| 2.985 | 29.93 | 37.4 | 2 2 -2 |
| 2.876 | 31.10 | 19.4 | 4 0 0 |
| 2.252 | 40.03 | 20.4 | 4 0 -4 |
| 2.150 | 42.02 | 31.9 | 2 2 2 |
| 2.000 | 45.34 | 31.9 | 6 2 -2 |
| 1.993 | 45.51 | 16.4 | 0 4 0 |
| 1.912 | 47.55 | 27.8 | 2 2 -4 |

Cell and atoms:
```
data_Ho3ScAg4S8
_space_group_name_H-M_alt 'C 1 2/m 1'
_space_group_IT_number 12
_cell_length_a 13.8981
_cell_length_b 7.9730
_cell_length_c 9.0639
_cell_angle_alpha 90.00
_cell_angle_beta 124.16
_cell_angle_gamma 90.00
loop_
_space_group_symop_operation_xyz
'x,y,z'
'-x,-y,-z'
'-x,y,-z'
'x,-y,z'
'x+1/2,y+1/2,z'
'-x+1/2,-y+1/2,-z'
'-x+1/2,y+1/2,-z'
'x+1/2,-y+1/2,z'
loop_
_atom_site_label
_atom_site_fract_x
_atom_site_fract_y
_atom_site_fract_z
Ho1 0.0000 0.0000 0.0000
Ho2 0.2500 0.2500 0.0000
Sc1 0.0000 0.5000 0.0000
Ag1 0.0000 0.0000 0.5000
Ag2 0.0000 0.5000 0.5000
Ag3 0.2500 0.2500 0.5000
S1 0.0917 0.5000 0.8135
S2 0.0968 0.0000 0.8117
S3 0.1488 0.2597 0.1856
```

=====

No. 4
Simulated powder X-ray diffraction pattern
Compound: Sm15Ho4Mg
Radiation: CuKα
Structure: a structure optimized by DFT (PBE)
Kinematic intensities with the Lorentz-polarization factor, no thermal factor.

Largest 10 diffraction maxima, sorted by position, 10° ≤ 2θ ≤ 80°:
| d (Å) | 2θ (°) | I (rel.) | hkl |
| --- | --- | --- | --- |
| 4.973 | 17.84 | 0.8 | 1 0 1 |
| 2.930 | 30.51 | 100.0 | 1 1 5 |
| 2.543 | 35.30 | 16.8 | 0 0 10 |
| 2.535 | 35.40 | 33.7 | 2 0 0 |
| 1.794 | 50.89 | 35.9 | 2 2 0 |
| 1.532 | 60.41 | 14.1 | 1 1 15 |
| 1.529 | 60.54 | 28.5 | 3 1 5 |
| 1.465 | 63.49 | 12.3 | 2 2 10 |
| 1.271 | 74.66 | 1.8 | 0 0 20 |
| 1.268 | 74.91 | 3.8 | 4 0 0 |

Cell and atoms:
```
data_Sm15Ho4Mg
_space_group_name_H-M_alt 'P 4/m m m'
_space_group_IT_number 123
_space_group_name_Hall '-P 4 2'
_cell_length_a 5.0707
_cell_length_b 5.0707
_cell_length_c 25.4262
_cell_angle_alpha 90.00
_cell_angle_beta 90.00
_cell_angle_gamma 90.00
loop_
_atom_site_label
_atom_site_fract_x
_atom_site_fract_y
_atom_site_fract_z
Sm1 0.0000 0.0000 0.0000
Sm2 0.0000 0.0000 0.1969
Sm3 0.0000 0.0000 0.3991
Sm4 0.0000 0.5000 0.0982
Sm5 0.0000 0.5000 0.2988
Sm6 0.0000 0.5000 0.5000
Ho1 0.5000 0.5000 0.1978
Ho2 0.5000 0.5000 0.3994
Mg1 0.5000 0.5000 0.0000
```

=====

No. 5
Simulated powder X-ray diffraction pattern
Compound: Tb8PmTm4
Radiation: CuKα
Structure: a structure optimized by DFT (PBE)
Kinematic intensities with the Lorentz-polarization factor, no thermal factor.

Largest 10 diffraction maxima, sorted by position, 10° ≤ 2θ ≤ 80°:
| d (Å) | 2θ (°) | I (rel.) | hkl |
| --- | --- | --- | --- |
| 3.120 | 28.61 | 17.4 | 0 2 1 |
| 3.029 | 29.49 | 29.1 | 0 0 9 |
| 2.852 | 31.37 | 100.0 | 0 2 4 |
| 2.721 | 32.92 | 39.7 | 2 0 5 |
| 2.500 | 35.92 | 6.5 | 1 0 10 |
| 2.309 | 39.01 | 31.7 | 2 0 8 |
| 1.813 | 50.33 | 29.6 | 2 2 0 |
| 1.744 | 52.48 | 16.7 | 0 2 13 |
| 1.555 | 59.42 | 22.5 | 2 2 9 |
| 1.530 | 60.51 | 13.8 | 4 0 4 |

Cell and atoms:
```
data_Tb8PmTm4
_space_group_name_H-M_alt 'R -3 m'
_space_group_IT_number 166
_space_group_name_Hall '-R 3 2"'
_cell_length_a 7.2521
_cell_length_b 7.2521
_cell_length_c 27.2573
_cell_angle_alpha 90.00
_cell_angle_beta 90.00
_cell_angle_gamma 120.00
loop_
_atom_site_label
_atom_site_fract_x
_atom_site_fract_y
_atom_site_fract_z
Tb1 0.0000 0.0000 0.2175
Tb2 0.0349 0.5174 0.7668
Pm1 0.0000 0.0000 0.5000
Tm1 0.0000 0.0000 0.0000
Tm2 0.0000 0.5000 0.0000
```

=====

No. 6
Simulated powder X-ray diffraction pattern
Compound: P2S2Br
Radiation: CuKα
Structure: a structure optimized by DFT (PBE)
Kinematic intensities with the Lorentz-polarization factor, no thermal factor.

Largest 10 diffraction maxima, sorted by position, 10° ≤ 2θ ≤ 80°:
| d (Å) | 2θ (°) | I (rel.) | hkl |
| --- | --- | --- | --- |
| 6.648 | 13.32 | 50.3 | 0 0 1 |
| 4.144 | 21.44 | 100.0 | 1 0 1 |
| 3.866 | 23.01 | 61.3 | -1 1 1 |
| 3.814 | 23.32 | 79.6 | 0 1 -1 |
| 3.324 | 26.82 | 34.1 | 0 0 2 |
| 3.268 | 27.29 | 32.0 | 0 2 0 |
| 3.256 | 27.40 | 31.2 | 0 2 2 |
| 2.650 | 33.83 | 59.9 | 2 0 0 |
| 2.453 | 36.64 | 48.7 | 0 3 1 |
| 2.367 | 38.01 | 32.0 | 1 3 2 |

Cell and atoms:
```
data_P2S2Br
_space_group_name_H-M_alt 'P -1'
_space_group_IT_number 2
_cell_length_a 5.3637
_cell_length_b 7.5783
_cell_length_c 7.6365
_cell_angle_alpha 60.52
_cell_angle_beta 85.69
_cell_angle_gamma 81.10
loop_
_space_group_symop_operation_xyz
'x,y,z'
'-x,-y,-z'
loop_
_atom_site_label
_atom_site_fract_x
_atom_site_fract_y
_atom_site_fract_z
P1 0.2423 0.2456 0.3377
P2 0.2575 0.9150 0.3373
S1 0.1575 0.7033 0.6368
S2 0.3425 0.1611 0.6369
Br1 0.2501 0.6581 0.1832
```

=====

No. 7
Simulated powder X-ray diffraction pattern
Compound: TbNbFe10
Radiation: CuKα
Structure: a structure optimized by DFT (PBE)
Kinematic intensities with the Lorentz-polarization factor, no thermal factor.

Largest 10 diffraction maxima, sorted by position, 10° ≤ 2θ ≤ 80°:
| d (Å) | 2θ (°) | I (rel.) | hkl |
| --- | --- | --- | --- |
| 2.885 | 31.00 | 46.4 | 1 1 1 |
| 2.423 | 37.11 | 29.9 | 0 2 0 |
| 2.100 | 43.08 | 22.5 | 0 2 2 |
| 2.095 | 43.19 | 12.0 | 0 0 4 |
| 2.068 | 43.77 | 100.0 | 1 2 0 |
| 1.987 | 45.66 | 28.5 | 2 0 0 |
| 1.536 | 60.24 | 13.9 | 2 2 0 |
| 1.443 | 64.61 | 19.6 | 2 0 4 |
| 1.320 | 71.45 | 14.1 | 1 3 3 |
| 1.210 | 79.13 | 9.3 | 0 2 6 |

Cell and atoms:
```
data_TbNbFe10
_space_group_name_H-M_alt 'P m m m'
_space_group_IT_number 47
_cell_length_a 3.9736
_cell_length_b 4.8527
_cell_length_c 8.3785
_cell_angle_alpha 90.00
_cell_angle_beta 90.00
_cell_angle_gamma 90.00
loop_
_space_group_symop_operation_xyz
'x,y,z'
'-x,-y,-z'
'-x,-y,z'
'x,y,-z'
'x,-y,-z'
'-x,y,z'
'-x,y,-z'
'x,-y,z'
loop_
_atom_site_label
_atom_site_fract_x
_atom_site_fract_y
_atom_site_fract_z
Tb1 0.0000 0.0000 0.0000
Nb1 0.0000 0.5000 0.5000
Fe1 0.0000 0.0000 0.3436
Fe2 0.0000 0.5000 0.1813
Fe3 0.5000 0.0000 0.5000
Fe4 0.5000 0.2529 0.2583
Fe5 0.5000 0.5000 0.0000
```

=====

No. 8
Simulated powder X-ray diffraction pattern
Compound: BaSnN
Radiation: CuKα
Structure: a structure optimized by DFT (PBE)
Kinematic intensities with the Lorentz-polarization factor, no thermal factor.

Largest 10 diffraction maxima, sorted by position, 10° ≤ 2θ ≤ 80°:
| d (Å) | 2θ (°) | I (rel.) | hkl |
| --- | --- | --- | --- |
| 6.433 | 13.76 | 18.5 | 0 0 2 |
| 3.291 | 27.09 | 90.9 | 1 1 1 |
| 3.217 | 27.73 | 39.7 | 0 0 4 |
| 3.140 | 28.42 | 44.3 | 2 0 0 |
| 2.666 | 33.61 | 100.0 | 1 1 3 |
| 2.247 | 40.13 | 37.5 | 2 0 4 |
| 1.841 | 49.52 | 17.4 | 3 1 1 |
| 1.706 | 53.72 | 26.3 | 3 1 3 |
| 1.617 | 56.93 | 27.9 | 1 1 7 |
| 1.505 | 61.65 | 21.1 | 2 2 4 |

Cell and atoms:
```
data_BaSnN
_space_group_name_H-M_alt 'P n m a'
_space_group_IT_number 62
_cell_length_a 6.2805
_cell_length_b 4.0513
_cell_length_c 12.8666
_cell_angle_alpha 90.00
_cell_angle_beta 90.00
_cell_angle_gamma 90.00
loop_
_space_group_symop_operation_xyz
'x,y,z'
'-x,-y,-z'
'-x+1/2,-y,z+1/2'
'x+1/2,y,-z+1/2'
'x+1/2,-y+1/2,-z+1/2'
'-x+1/2,y+1/2,z+1/2'
'-x,y+1/2,-z'
'x,-y+1/2,z'
loop_
_atom_site_label
_atom_site_fract_x
_atom_site_fract_y
_atom_site_fract_z
Ba1 0.2442 0.2500 0.1439
Sn1 0.2457 0.7500 0.3631
N1 0.0090 0.2500 0.7470
```

=====

No. 9
Simulated powder X-ray diffraction pattern
Compound: AcSm2Ag4
Radiation: CuKα
Structure: a structure optimized by DFT (PBE)
Kinematic intensities with the Lorentz-polarization factor, no thermal factor.

Largest 10 diffraction maxima, sorted by position, 10° ≤ 2θ ≤ 80°:
| d (Å) | 2θ (°) | I (rel.) | hkl |
| --- | --- | --- | --- |
| 5.046 | 17.58 | 28.8 | 1 0 1 |
| 3.102 | 28.78 | 17.9 | 2 1 1 |
| 2.781 | 32.18 | 65.6 | 2 2 0 |
| 2.523 | 35.59 | 100.0 | 2 0 2 |
| 1.967 | 46.15 | 23.8 | 4 0 0 |
| 1.551 | 59.60 | 43.8 | 4 2 2 |
| 1.415 | 66.01 | 16.0 | 2 2 4 |
| 1.261 | 75.34 | 10.9 | 4 0 4 |
| 1.244 | 76.60 | 10.4 | 6 2 0 |
| 1.218 | 78.54 | 9.8 | 6 0 2 |

Cell and atoms:
```
data_AcSm2Ag4
_space_group_name_H-M_alt 'I 4/m m m'
_space_group_IT_number 139
_space_group_name_Hall '-I 4 2'
_cell_length_a 7.8671
_cell_length_b 7.8671
_cell_length_c 6.5766
_cell_angle_alpha 90.00
_cell_angle_beta 90.00
_cell_angle_gamma 90.00
loop_
_atom_site_label
_atom_site_fract_x
_atom_site_fract_y
_atom_site_fract_z
Ac1 0.0000 0.0000 0.0000
Sm1 0.0000 0.5000 0.0000
Ag1 0.2500 0.2500 0.2500
```

=====

No. 10
Simulated powder X-ray diffraction pattern
Compound: Ag2IF2
Radiation: CuKα
Structure: a structure optimized by DFT (PBE)
Kinematic intensities with the Lorentz-polarization factor, no thermal factor.

Largest 10 diffraction maxima, sorted by position, 10° ≤ 2θ ≤ 80°:
| d (Å) | 2θ (°) | I (rel.) | hkl |
| --- | --- | --- | --- |
| 5.340 | 16.60 | 21.1 | 1 1 0 |
| 3.414 | 26.10 | 55.1 | 2 1 -1 |
| 3.215 | 27.75 | 100.0 | 1 0 2 |
| 2.670 | 33.56 | 53.2 | 2 2 0 |
| 2.467 | 36.42 | 33.5 | 1 2 -2 |
| 2.379 | 37.82 | 17.2 | 3 1 1 |
| 2.304 | 39.10 | 19.2 | 1 1 -3 |
| 2.256 | 39.97 | 29.9 | 2 2 -2 |
| 2.188 | 41.25 | 19.0 | 3 2 0 |
| 1.797 | 50.81 | 17.0 | 3 2 2 |

Cell and atoms:
```
data_Ag2IF2
_space_group_name_H-M_alt 'P 1 21/c 1'
_space_group_IT_number 14
_cell_length_a 8.6247
_cell_length_b 6.8437
_cell_length_c 7.4198
_cell_angle_alpha 90.00
_cell_angle_beta 98.05
_cell_angle_gamma 90.00
loop_
_space_group_symop_operation_xyz
'x,y,z'
'-x,-y,-z'
'-x,y+1/2,-z+1/2'
'x,-y+1/2,z+1/2'
loop_
_atom_site_label
_atom_site_fract_x
_atom_site_fract_y
_atom_site_fract_z
Ag1 0.0057 0.2470 0.0003
Ag2 0.3810 0.6402 0.3396
I1 0.2235 0.5133 0.9112
F1 0.1491 0.0036 0.9205
F2 0.4962 0.1559 0.8362
```

=====

No. 11
Simulated powder X-ray diffraction pattern
Compound: PPd12
Radiation: CuKα
Structure: a structure optimized by DFT (PBE)
Kinematic intensities with the Lorentz-polarization factor, no thermal factor.

Largest 10 diffraction maxima, sorted by position, 10° ≤ 2θ ≤ 80°:
| d (Å) | 2θ (°) | I (rel.) | hkl |
| --- | --- | --- | --- |
| 2.610 | 34.36 | 25.9 | 2 2 0 |
| 2.335 | 38.56 | 100.0 | 3 0 1 |
| 2.131 | 42.41 | 31.0 | 2 2 2 |
| 1.973 | 46.00 | 69.1 | 3 1 2 |
| 1.846 | 49.38 | 6.6 | 4 0 0 |
| 1.740 | 52.60 | 8.0 | 3 3 0 |
| 1.651 | 55.68 | 8.5 | 4 2 0 |
| 1.574 | 58.66 | 6.6 | 3 3 2 |
| 1.266 | 75.02 | 39.1 | 5 3 0 |
| 1.230 | 77.59 | 10.5 | 6 0 0 |

Cell and atoms:
```
data_PPd12
_space_group_name_H-M_alt 'I m -3'
_space_group_IT_number 204
_space_group_name_Hall '-I 2 2 3'
_cell_length_a 7.3824
_cell_length_b 7.3824
_cell_length_c 7.3824
_cell_angle_alpha 90.00
_cell_angle_beta 90.00
_cell_angle_gamma 90.00
loop_
_atom_site_label
_atom_site_fract_x
_atom_site_fract_y
_atom_site_fract_z
P1 0.0000 0.0000 0.0000
Pd1 0.0000 0.3084 0.1812
```

=====

No. 12
Simulated powder X-ray diffraction pattern
Compound: NaPdAu
Radiation: CuKα
Structure: a structure optimized by DFT (PBE)
Kinematic intensities with the Lorentz-polarization factor, no thermal factor.

Largest 10 diffraction maxima, sorted by position, 10° ≤ 2θ ≤ 80°:
| d (Å) | 2θ (°) | I (rel.) | hkl |
| --- | --- | --- | --- |
| 5.615 | 15.78 | 16.1 | 0 0 1 |
| 4.266 | 20.82 | 18.3 | 2 0 0 |
| 3.912 | 22.73 | 26.7 | 1 1 0 |
| 2.387 | 37.69 | 100.0 | 1 1 -2 |
| 2.201 | 41.01 | 20.1 | 0 2 0 |
| 2.159 | 41.84 | 17.9 | 2 0 2 |
| 1.885 | 48.28 | 12.4 | 4 0 -2 |
| 1.541 | 60.02 | 12.3 | 2 2 2 |
| 1.432 | 65.15 | 10.0 | 4 2 -2 |
| 1.304 | 72.51 | 14.6 | 1 3 -2 |

Cell and atoms:
```
data_NaPdAu
_space_group_name_H-M_alt 'C 1 2/m 1'
_space_group_IT_number 12
_cell_length_a 8.6997
_cell_length_b 4.4020
_cell_length_c 5.7251
_cell_angle_alpha 90.00
_cell_angle_beta 101.28
_cell_angle_gamma 90.00
loop_
_space_group_symop_operation_xyz
'x,y,z'
'-x,-y,-z'
'-x,y,-z'
'x,-y,z'
'x+1/2,y+1/2,z'
'-x+1/2,-y+1/2,-z'
'-x+1/2,y+1/2,-z'
'x+1/2,-y+1/2,z'
loop_
_atom_site_label
_atom_site_fract_x
_atom_site_fract_y
_atom_site_fract_z
Na1 0.1699 0.0000 0.0787
Pd1 0.1612 0.0000 0.5677
Au1 0.0099 0.5000 0.2597
```